Structure and theoretical X-ray diffraction stick pattern of CsPmBe2F8 (DFT lattice parameters and positions (PBE); copper Kα).

Peak list (10 most intense, 2θ = 15–90°, by angle)
20.6 deg, intensity 56.8; 20.8 deg, intensity 22.4; 23.9 deg, intensity 100.0; 33.9 deg, intensity 29.3; 34.2 deg, intensity 22.7; 40.0 deg, intensity 16.0; 40.2 deg, intensity 45.5; 40.4 deg, intensity 21.9; 55.0 deg, intensity 15.8; 55.4 deg, intensity 16.3

Cell and atoms:
a = 9.0520 Å, b = 9.0520 Å, c = 9.0520 Å
α = 33.94°, β = 33.94°, γ = 33.94°
Element x y z (fractional)
1 Cs 0.0000 0.0000 0.0000
2 Pm 0.5000 0.5000 0.5000
3 Be 0.2434 0.2434 0.2434
4 Be 0.7566 0.7566 0.7566
5 F 0.0706 0.7560 0.5155
6 F 0.2440 0.4845 0.9294
7 F 0.3017 0.3017 0.3017
8 F 0.4845 0.9294 0.2440
9 F 0.5155 0.0706 0.7560
10 F 0.6983 0.6983 0.6983
11 F 0.7560 0.5155 0.0706
12 F 0.9294 0.2440 0.4845

***

Structure and theoretical X-ray diffraction stick pattern of Cs4Rb3BeF8 (DFT lattice parameters and positions (PBE); copper Kα).

Peak list (10 most intense, 2θ = 15–90°, by angle)
25.4 deg, intensity 14.9; 26.0 deg, intensity 34.3; 26.1 deg, intensity 100.0; 28.9 deg, intensity 48.7; 30.9 deg, intensity 69.9; 42.7 deg, intensity 26.9; 42.9 deg, intensity 27.1; 49.5 deg, intensity 19.8; 52.1 deg, intensity 22.2; 53.8 deg, intensity 17.4

Cell and atoms:
a = 8.4585 Å, b = 8.4585 Å, c = 8.2031 Å
α = 118.80°, β = 118.80°, γ = 57.69°
Element x y z (fractional)
1 Cs 0.0000 0.0000 0.0000
2 Cs 0.0000 0.5000 0.5000
3 Cs 0.5000 0.0000 0.5000
4 Cs 0.5000 0.5000 0.0000
5 Rb 0.0000 0.0000 0.5000
6 Rb 0.0000 0.5000 0.0000
7 Rb 0.5000 0.0000 0.0000
8 Be 0.5000 0.5000 0.5000
9 F 0.2216 0.2216 0.2065
10 F 0.2428 0.2428 0.7551
11 F 0.3533 0.6454 0.6443
12 F 0.3546 0.6467 0.3557
13 F 0.6454 0.3533 0.6443
14 F 0.6467 0.3546 0.3557
15 F 0.7572 0.7572 0.2449
16 F 0.7784 0.7784 0.7935

***

Structure and theoretical X-ray diffraction stick pattern of CsUBe2F8 (DFT lattice parameters and positions (PBE); copper Kα).

Peak list (10 most intense, 2θ = 15–90°, by angle)
20.4 deg, intensity 68.7; 20.6 deg, intensity 24.5; 23.7 deg, intensity 100.0; 33.6 deg, intensity 34.0; 33.9 deg, intensity 26.2; 39.6 deg, intensity 18.2; 39.8 deg, intensity 47.0; 40.0 deg, intensity 22.3; 54.4 deg, intensity 17.4; 54.8 deg, intensity 17.1

Cell and atoms:
a = 9.1392 Å, b = 9.1392 Å, c = 9.1392 Å
α = 33.93°, β = 33.93°, γ = 33.93°
Element x y z (fractional)
1 Cs 0.0000 0.0000 0.0000
2 U 0.5000 0.5000 0.5000
3 Be 0.2457 0.2457 0.2457
4 Be 0.7543 0.7543 0.7543
5 F 0.0678 0.5186 0.7482
6 F 0.2518 0.4814 0.9322
7 F 0.3034 0.3034 0.3034
8 F 0.4814 0.9322 0.2518
9 F 0.5186 0.7482 0.0678
10 F 0.6966 0.6966 0.6966
11 F 0.7482 0.0678 0.5186
12 F 0.9322 0.2518 0.4814

***

Question: Number 3 is which compound?
Answer: CsUBe2F8